Entry 1:
This entry pairs a crystal structure of Cs2U3P6H4O20 with its computed powder diffractogram. Radiation: Cu Kα X-rays. Structure: a crystal structure in the Materials Project, relaxed with PBE.
Intensities are scaled so that the largest is 100.

Most intense lines, 2θ = 10–80°, low angle first:
2θ (°), d [Å], I_rel, index
14.40, 6.150, 66, 2 0 1
18.75, 4.732, 40, 3 1 0
19.42, 4.570, 100, 1 1 -1
22.95, 3.875, 45, 3 1 1
27.39, 3.256, 86, 5 1 1
29.86, 2.993, 46, 7 1 -1
31.44, 2.845, 39, 0 2 0
38.32, 2.349, 39, 1 1 -3

Atomic structure:
```
data_Cs2U3P6H4O20
_chemical_formula_sum 'Cs4 U6 P12 H8 O40'
_cell_length_a 25.8797
_cell_length_b 5.6908
_cell_length_c 7.7495
_cell_angle_alpha 90.00
_cell_angle_beta 99.11
_cell_angle_gamma 90.00
_space_group_name_H-M_alt 'C 1 2/m 1'
_space_group_IT_number 12
_space_group_name_Hall '-C 2y'
loop_
_atom_site_label
_atom_site_type_symbol
_atom_site_fract_x
_atom_site_fract_y
_atom_site_fract_z
Cs1 Cs 0.1688 0.0000 0.0788
U1 U 0.0000 0.0000 0.0000
U2 U 0.1794 0.5000 0.5778
P1 P 0.0673 0.5000 0.8167
P2 P 0.0849 0.0000 0.4434
P3 P 0.2440 0.0000 0.6880
H1 H 0.0359 0.5000 0.6508
H2 H 0.0508 0.0000 0.5680
O1 O 0.0486 0.0000 0.2632
O2 O 0.0527 0.2760 0.9115
O3 O 0.1175 0.2254 0.4685
O4 O 0.1247 0.5000 0.7933
O5 O 0.1954 0.5000 0.2758
O6 O 0.2204 0.2219 0.7655
O7 O 0.2295 0.0000 0.4852
```

---

Entry 2:
This entry pairs a crystal structure of Cd2SiO4 with its computed powder diffractogram. Radiation: Cu Kα X-rays. Structure: a crystal structure in the Materials Project, relaxed with PBE.
Intensities are scaled so that the largest is 100.

Most intense lines, 2θ = 10–80°, low angle first:
2θ (°), d [Å], I_rel, index
23.12, 3.847, 44, -1 1 1
29.77, 3.001, 51, 0 0 2
31.42, 2.847, 100, 1 -2 1
32.92, 2.721, 80, 1 1 0
38.06, 2.364, 33, -1 2 1
49.04, 1.857, 44, 1 -2 3
53.26, 1.720, 33, 0 3 -1
54.86, 1.673, 23, 1 1 -4

Atomic structure:
```
data_Cd2SiO4
_chemical_formula_sum 'Cd4 Si2 O8'
_cell_length_a 5.8672
_cell_length_b 5.8672
_cell_length_c 6.7345
_cell_angle_alpha 103.64
_cell_angle_beta 103.64
_cell_angle_gamma 117.30
_space_group_name_H-M_alt 'P 1'
_space_group_IT_number 1
_space_group_name_Hall 'P 1'
loop_
_atom_site_label
_atom_site_type_symbol
_atom_site_fract_x
_atom_site_fract_y
_atom_site_fract_z
Cd1 Cd 0.0000 0.0000 0.0000
Cd2 Cd 0.1153 0.8636 0.4946
Cd3 Cd 0.3593 0.6230 0.9971
Cd4 Cd 0.7437 0.2380 0.4979
Si1 Si 0.4327 0.5561 0.4997
Si2 Si 0.6789 0.2988 0.9885
O1 O 0.2363 0.5697 0.6336
O2 O 0.3013 0.2309 0.3503
O3 O 0.3487 0.1802 0.8524
O4 O 0.4096 0.7360 0.3407
O5 O 0.7031 0.1278 0.1355
O6 O 0.7526 0.6782 0.6327
O7 O 0.8023 0.6441 0.1460
O8 O 0.8559 0.2837 0.8484
```

---

Entry 3:
This entry pairs a crystal structure of Ca2In with its computed powder diffractogram. Radiation: Cu Kα X-rays. Structure: a crystal structure in the Materials Project, relaxed with PBE.
Intensities are scaled so that the largest is 100.

Most intense lines, 2θ = 10–80°, low angle first:
2θ (°), d [Å], I_rel, index
18.71, 4.742, 33, 0 1 1
21.57, 4.120, 57, 1 0 2
22.40, 3.970, 48, 1 1 1
29.68, 3.010, 32, 2 1 0
31.03, 2.882, 100, 2 1 1
31.55, 2.836, 93, 0 1 3
33.28, 2.692, 60, 0 2 0
33.94, 2.641, 37, 1 1 3

Atomic structure:
```
data_Ca2In
_chemical_formula_sum 'Ca8 In4'
_cell_length_a 7.2599
_cell_length_b 5.3843
_cell_length_c 10.0069
_cell_angle_alpha 90.00
_cell_angle_beta 90.00
_cell_angle_gamma 90.00
_space_group_name_H-M_alt 'P n m a'
_space_group_IT_number 62
_space_group_name_Hall '-P 2ac 2n'
loop_
_atom_site_label
_atom_site_type_symbol
_atom_site_fract_x
_atom_site_fract_y
_atom_site_fract_z
Ca1 Ca 0.0344 0.2500 0.2018
Ca2 Ca 0.1736 0.2500 0.5649
In1 In 0.2242 0.2500 0.8871
```

---

Entry 4:
This entry pairs a crystal structure of K3TmCl6 with its computed powder diffractogram. Radiation: Cu Kα X-rays. Structure: a crystal structure in the Materials Project, relaxed with PBE.
Intensities are scaled so that the largest is 100.

Most intense lines, 2θ = 10–80°, low angle first:
2θ (°), d [Å], I_rel, index
13.77, 6.432, 89, 1 1 1
15.91, 5.571, 92, 2 0 0
22.57, 3.939, 95, 2 2 0
26.53, 3.359, 36, 3 1 1
32.14, 2.785, 100, 4 0 0
36.05, 2.491, 44, 4 2 0
39.63, 2.274, 41, 4 2 2
46.09, 1.970, 65, 4 4 0

Atomic structure:
```
data_K3TmCl6
_chemical_formula_sum 'K12 Tm4 Cl24'
_cell_length_a 11.1414
_cell_length_b 11.1414
_cell_length_c 11.1414
_cell_angle_alpha 90.00
_cell_angle_beta 90.00
_cell_angle_gamma 90.00
_space_group_name_H-M_alt 'F m -3 m'
_space_group_IT_number 225
_space_group_name_Hall '-F 4 2 3'
loop_
_atom_site_label
_atom_site_type_symbol
_atom_site_fract_x
_atom_site_fract_y
_atom_site_fract_z
K1 K 0.0000 0.0000 0.0000
K2 K 0.2500 0.2500 0.2500
Tm1 Tm 0.0000 0.0000 0.5000
Cl1 Cl 0.0000 0.0000 0.2672
```